Theoretical powder XRD pattern of Ac3TbBi4 for Cu Kα, from a DFT-relaxed cell (GGA-PBE, Alexandria).
Peak positions follow from Bragg's law for the DFT cell and can differ from measured ones.

Atomic structure:
```
data_Ac3TbBi4
_cell_length_a 8.290
_cell_length_b 9.591
_cell_length_c 8.294
_cell_angle_alpha 90.00
_cell_angle_beta 109.51
_cell_angle_gamma 90.00
_symmetry_space_group_name_H-M 'P 1 2/c 1'
_symmetry_Int_Tables_number 13
_symmetry_space_group_name_Hall '-P 2yc'
loop_
_atom_site_label
_atom_site_type_symbol
_atom_site_fract_x
_atom_site_fract_y
_atom_site_fract_z
Ac1 Ac 0.000 0.124 0.250
Ac2 Ac 0.000 0.372 0.750
Ac3 Ac 0.500 0.373 0.250
Tb1 Tb 0.500 0.123 0.750
Bi1 Bi 0.257 0.367 0.508
Bi2 Bi 0.265 0.117 0.999
```

Top 12 peaks for 10° ≤ 2θ ≤ 90°, sorted by position:
2θ = 26.31°, I 100, hkl 1 2 1
2θ = 37.56°, I 80, hkl 1 2 -3
2θ = 46.44°, I 29, hkl 0 0 4
2θ = 54.16°, I 14, hkl 2 4 2
2θ = 61.18°, I 32, hkl 0 4 4
2θ = 61.24°, I 6, hkl 3 2 3
2θ = 67.74°, I 17, hkl 2 0 -6
2θ = 67.83°, I 12, hkl 1 2 5
2θ = 80.16°, I 6, hkl 2 4 -6
2θ = 80.25°, I 1, hkl 4 0 4
2θ = 86.08°, I 10, hkl 3 6 -5
2θ = 86.20°, I 9, hkl 1 2 -7